The following is a simulated powder diffraction line list of Li7Co5O12. It was derived from a DFT-relaxed cell (GGA+U, the Materials Project), using Cu Kα (λ = 1.5418 Å).
Intensities are scaled so that the largest is 100.

Principal peaks in the range 10 to 90 degrees two-theta, in order of rising 2θ:
d [Å]	I (rel.)
4.805	100
2.522	31
2.103	61
2.008	25
1.459	15
1.446	15

Structure:
abc: 4.9668 2.9762 14.4270
angles: 90.00 92.22 90.00
Fractional positions:
Li (0.0000, 0.0000, 0.0000)
Li (0.0000, 0.0000, 0.5000)
Li (0.1532, 0.5000, 0.1618)
Li (0.3327, 0.0000, 0.8390)
Li (0.5000, 0.5000, 0.5000)
Li (0.6673, 0.0000, 0.1610)
Li (0.8468, 0.5000, 0.8382)
Co (0.1684, 0.5000, 0.6691)
Co (0.3322, 0.0000, 0.3314)
Co (0.5000, 0.5000, 0.0000)
Co (0.6678, 0.0000, 0.6686)
Co (0.8316, 0.5000, 0.3309)
O (0.0094, 0.0000, 0.2521)
O (0.1606, 0.5000, 0.4085)
O (0.2051, 0.5000, 0.9261)
O (0.3386, 0.0000, 0.5904)
O (0.3524, 0.0000, 0.0712)
O (0.4931, 0.5000, 0.7456)
O (0.5069, 0.5000, 0.2544)
O (0.6476, 0.0000, 0.9288)
O (0.6614, 0.0000, 0.4096)
O (0.7949, 0.5000, 0.0739)
O (0.8394, 0.5000, 0.5915)
O (0.9906, 0.0000, 0.7479)